# Cu5As2H4O12
Computed X-ray powder pattern, Cu Kα (λ = 1.5418 Å). Input: DFT lattice parameters and positions (GGA-PBE).
Lines closer than 0.1° are merged.

Principal peaks in the range 2θ from 15° to 90°, low angle first:
2θ (°)	Rel. int.
19.07	59
24.79	74
27.12	100
28.43	59
29.27	60
35.97	59
36.81	82
38.71	70

Cell and atoms:
Cell lengths 4.658, 5.842, 17.768 Å; angles 90.00, 92.65, 90.00 degrees
Space group P2_1/c (No. 14)
Unique sites:
Cu 0.000 0.000 0.000
Cu 0.004 0.183 0.247
Cu 0.044 0.522 0.085
As 0.478 0.082 0.869
H 0.358 0.572 0.825
H 0.374 0.701 0.984
O 0.146 0.566 0.818
O 0.165 0.682 0.988
O 0.247 0.067 0.788
O 0.285 0.165 0.945
O 0.316 0.681 0.151
O 0.335 0.164 0.121


# RbTaO3
Computed X-ray powder pattern, Cu Kα (λ = 1.5418 Å). Input: DFT lattice parameters and positions (GGA-PBE).
Lines closer than 0.1° are merged.

Principal peaks in the range 2θ from 15° to 90°, low angle first:
2θ (°)	Rel. int.
25.65	100
26.97	67
27.12	89
28.38	60
30.45	59
35.00	33
36.11	34
42.52	35

Cell and atoms:
Cell lengths 5.174, 8.580, 9.112 Å; angles 114.19, 93.74, 94.58 degrees
Space group P-1 (No. 2)
Unique sites:
Rb 0.000 0.000 0.000
Rb 0.000 0.000 0.500
Rb 0.414 0.704 0.098
Ta 0.028 0.511 0.316
Ta 0.499 0.712 0.643
O 0.094 0.394 0.815
O 0.212 0.716 0.771
O 0.237 0.427 0.509
O 0.280 0.714 0.458
O 0.301 0.378 0.208
O 0.355 0.065 0.272


# Cs2NbAgSe4
Computed X-ray powder pattern, Cu Kα (λ = 1.5418 Å). Input: DFT lattice parameters and positions (GGA-PBE).
Lines closer than 0.1° are merged.

Principal peaks in the range 2θ from 15° to 90°, low angle first:
2θ (°)	Rel. int.
23.75	69
25.14	100
28.71	60
31.32	26
35.71	46
41.77	30
45.65	24
46.79	33

Cell and atoms:
Cell lengths 6.178, 14.980, 25.961 Å; angles 90.00, 90.00, 90.00 degrees
Space group Fddd (No. 70, origin choice 2)
Unique sites:
Cs 0.125 0.125 0.304
Nb 0.125 0.125 0.125
Ag 0.125 0.125 0.625
Se 0.094 0.279 0.430


# Sr2MgTl
Computed X-ray powder pattern, Cu Kα (λ = 1.5418 Å). Input: DFT lattice parameters and positions (GGA-PBE).
Lines closer than 0.1° are merged.

Principal peaks in the range 2θ from 15° to 90°, low angle first:
2θ (°)	Rel. int.
18.66	41
30.71	100
36.18	24
43.98	19
54.59	39
63.95	12
72.61	17
88.94	21

Cell and atoms:
Cell lengths 8.235, 8.235, 8.235 Å; angles 90.00, 90.00, 90.00 degrees
Space group Fm-3m (No. 225)
Unique sites:
Sr 0.250 0.250 0.250
Mg 0.000 0.000 0.000
Tl 0.000 0.000 0.500


# Y3Mg
Computed X-ray powder pattern, Cu Kα (λ = 1.5418 Å). Input: DFT lattice parameters and positions (GGA-PBE).
Lines closer than 0.1° are merged.

Principal peaks in the range 2θ from 15° to 90°, low angle first:
2θ (°)	Rel. int.
21.51	17
29.31	24
31.84	26
33.45	100
43.82	15
51.97	18
57.76	20
62.26	21

Cell and atoms:
Cell lengths 7.0376, 7.0376, 5.6209 Å; angles 90.00, 90.00, 120.00 degrees
Space group P6_3/mmc (No. 194)
Unique sites:
Y 0.1700 0.3400 0.2500
Mg 0.3333 0.6667 0.7500


# CsAs2Ru2
Computed X-ray powder pattern, Cu Kα (λ = 1.5418 Å). Input: DFT lattice parameters and positions (GGA-PBE).
Lines closer than 0.1° are merged.

Principal peaks in the range 2θ from 15° to 90°, low angle first:
2θ (°)	Rel. int.
24.09	27
28.25	100
33.07	59
39.40	15
43.98	44
48.40	66
53.10	34
84.09	26

Cell and atoms:
Cell lengths 4.117, 4.117, 14.780 Å; angles 90.00, 90.00, 90.00 degrees
Space group I4/mmm (No. 139)
Unique sites:
Cs 0.000 0.000 0.000
As 0.000 0.000 0.339
Ru 0.000 0.500 0.250


# Tb2MgTi2S2O5
Computed X-ray powder pattern, Cu Kα (λ = 1.5418 Å). Input: DFT lattice parameters and positions (GGA-PBE).
Lines closer than 0.1° are merged.

Principal peaks in the range 2θ from 15° to 90°, low angle first:
2θ (°)	Rel. int.
25.31	71
28.44	25
32.63	100
33.29	44
35.79	33
43.04	36
47.79	33
59.07	35

Cell and atoms:
Cell lengths 3.806, 3.806, 27.723 Å; angles 90.00, 90.00, 90.00 degrees
Space group I-4m2 (No. 119)
Unique sites:
Tb 0.000 0.000 0.136
Mg 0.000 0.500 0.750
Ti 0.000 0.000 0.434
S 0.000 0.000 0.308
O 0.000 0.000 0.500
O 0.000 0.500 0.091
O 0.000 0.500 0.592


# SiCN
Computed X-ray powder pattern, Cu Kα (λ = 1.5418 Å). Input: DFT lattice parameters and positions (GGA-PBE).
Lines closer than 0.1° are merged.

Principal peaks in the range 2θ from 15° to 90°, low angle first:
2θ (°)	Rel. int.
32.58	100
37.79	1
54.52	91
64.97	38
68.24	2
80.74	13
89.79	17

Cell and atoms:
Cell lengths 4.761, 4.761, 4.761 Å; angles 90.00, 90.00, 90.00 degrees
Space group F-43m (No. 216)
Unique sites:
Si 0.000 0.000 0.000
C 0.250 0.250 0.750
N 0.250 0.250 0.250


Number 5 is which compound?
Y3Mg